Computed X-ray diffraction stick pattern
Compound: CdC8
Radiation: λ = 1.5418 Å (Cu Kα)
Structure: a crystal structure in OQMD, relaxed with GGA-PBE

Largest 10 diffraction maxima, by angle, 10° ≤ 2θ ≤ 90°:
(1 0 0), 20.84°, I 79; (1 0 1), 25.20°, I 100; (0 0 2), 28.25°, I 41; (1 0 2), 35.37°, I 41; (1 1 0), 36.50°, I 19; (1 1 1), 39.28°, I 31; (2 0 1), 44.88°, I 37; (1 1 2), 46.79°, I 18; (1 0 3), 48.20°, I 17; (2 1 1), 59.17°, I 17

Structure:
abc: 4.9230 4.9230 6.3172
angles: 90.00 90.00 120.00
Space group P6/mmm (No. 191)
Unique sites:
Cd  0.0000  0.0000  0.0000 x1
C  0.1667  0.3335  0.5000 x6
C  0.3333  0.6667  0.5000 x2